Starting from DFT lattice parameters and positions (PBE), the powder XRD pattern of La5PmY3 was calculated for a wavelength of 1.5418 Å.

```
La5PmY3
1.0
-4.4184 4.4184 8.2248
4.4184 -4.4184 8.2248
4.4184 4.4184 -8.2248
La Pm Y
10 2 6
Cartesian
0.0000 0.0000 0.0000
6.1821 1.7637 -2.3360
1.7637 2.6547 -2.3360
6.1821 1.7637 2.3360
1.7637 2.6547 2.3360
0.0000 0.0000 8.2248
2.6547 1.7637 5.8888
-1.7637 2.6547 5.8888
2.6547 1.7637 10.5608
-1.7637 2.6547 10.5608
4.4184 0.0000 4.1124
0.0000 4.4184 4.1124
3.3505 1.0678 0.0000
0.0000 0.0000 4.1124
3.3505 -1.0678 8.2248
1.0678 5.4862 0.0000
0.0000 0.0000 12.3372
1.0678 3.3505 8.2248
```

Largest 6 diffraction maxima, sorted by position, 5 to 70 degrees two-theta:
2θ (°)	I_rel
27.83	61
28.57	48
29.68	100
33.88	14
45.44	19
51.30	16



Starting from DFT lattice parameters and positions (PBE), the powder XRD pattern of Rb3Tm3SbTe8 was calculated for a wavelength of 1.5418 Å.

```
Rb3Tm3SbTe8
1.0
7.6435 -4.4038 0.0000
7.6435 4.4038 0.0000
-5.1049 0.0000 8.7555
Rb Tm Sb Te
3 3 1 8
Cartesian
0.0000 0.0000 0.0000
3.8218 2.2019 0.0000
3.8218 -2.2019 0.0000
1.2693 2.2019 4.3778
1.2693 -2.2019 4.3778
5.0911 0.0000 4.3778
-2.5524 0.0000 4.3778
0.0041 0.0000 6.0832
3.8121 2.1930 6.0816
2.5448 0.0000 2.6479
6.3701 2.1930 2.6740
3.8121 -2.1930 6.0816
7.6374 0.0000 6.1076
6.3701 -2.1930 2.6740
10.1781 0.0000 2.6723
```

Largest 6 diffraction maxima, sorted by position, 5 to 70 degrees two-theta:
2θ (°)	I_rel
10.10	48
27.02	100
33.48	21
36.08	33
40.94	37
49.74	19



Starting from DFT lattice parameters and positions (PBE), the powder XRD pattern of Ce3Mg7Pb4 was calculated for a wavelength of 1.5418 Å.

```
Ce3Mg7Pb4
1.0
8.7430 -2.3597 0.0000
8.7430 2.3597 0.0000
-6.4508 0.0000 9.0579
Ce Mg Pb
3 7 4
Cartesian
0.0000 0.0000 0.0000
3.4205 0.0000 2.6909
7.6147 0.0000 6.3670
-3.2254 0.0000 4.5289
-0.0833 0.0000 3.9707
-0.6464 0.0000 8.9033
4.1888 0.0000 6.0678
6.8464 0.0000 2.9901
11.6817 0.0000 0.1546
11.1185 0.0000 5.0872
-3.3394 0.0000 7.5786
1.3253 0.0000 6.7348
9.7099 0.0000 2.3231
14.3746 0.0000 1.4793
```

Largest 6 diffraction maxima, sorted by position, 5 to 70 degrees two-theta:
2θ (°)	I_rel
19.60	73
23.71	89
30.52	83
30.72	100
31.89	80
38.14	78



Starting from DFT lattice parameters and positions (PBE), the powder XRD pattern of Re5Rh3 was calculated for a wavelength of 1.5418 Å.

```
Re5Rh3
1.0
2.7542 -4.3950 0.0000
2.7542 4.3950 0.0000
0.0000 0.0000 4.8113
Re Rh
5 3
Cartesian
0.0000 0.0000 0.0000
1.3771 2.1975 4.0162
1.3630 0.0000 2.4397
1.3771 -2.1975 4.0162
4.1454 0.0000 2.4397
2.7542 2.1800 1.6512
2.7542 0.0000 0.0317
2.7542 -2.1800 1.6512
```

Largest 6 diffraction maxima, sorted by position, 5 to 70 degrees two-theta:
2θ (°)	I_rel
37.63	25
41.07	38
42.86	51
43.08	100
56.92	15
67.59	17



Starting from DFT lattice parameters and positions (PBE), the powder XRD pattern of Zn2Hg2Pd was calculated for a wavelength of 1.5418 Å.

```
Zn2Hg2Pd
1.0
-1.7891 1.7891 7.4104
1.7891 -1.7891 7.4104
1.7891 1.7891 -7.4104
Zn Hg Pd
2 2 1
Cartesian
1.7891 0.0000 3.7052
0.0000 1.7891 3.7052
0.0000 0.0000 1.4627
0.0000 0.0000 13.3580
0.0000 0.0000 7.4104
```

Largest 6 diffraction maxima, sorted by position, 5 to 70 degrees two-theta:
2θ (°)	I_rel
25.61	55
30.86	37
37.56	64
39.48	100
51.05	39
66.39	44



Starting from DFT lattice parameters and positions (PBE), the powder XRD pattern of ZnInCl3 was calculated for a wavelength of 1.5418 Å.

```
ZnInCl3
1.0
6.9340 0.0000 0.0000
1.8978 7.0238 0.0000
3.2757 -0.1153 6.5781
Zn In Cl
2 2 6
Cartesian
0.0000 0.0000 0.0000
2.9627 5.4135 2.6202
3.7993 1.3737 2.5722
6.1012 4.0489 0.0528
2.7901 4.8765 0.2804
4.4605 1.4125 5.4564
5.1658 5.5519 3.0778
9.9049 6.7742 6.1176
7.1077 0.5368 2.3401
8.7148 3.8854 3.7435
```

Largest 6 diffraction maxima, sorted by position, 5 to 70 degrees two-theta:
2θ (°)	I_rel
17.34	70
21.64	81
26.11	100
26.35	81
27.11	94
32.49	77



Starting from DFT lattice parameters and positions (PBE), the powder XRD pattern of Pm2MnSi2 was calculated for a wavelength of 1.5418 Å.

```
Pm2MnSi2
1.0
-3.2114 6.1510 2.9066
3.2114 -6.1510 2.9066
3.2114 6.1510 -2.9066
Pm Mn Si
4 2 4
Cartesian
1.2398 1.7512 0.0000
1.2398 -1.7512 2.9066
1.9716 7.9022 0.0000
1.9716 4.3998 2.9066
3.2114 0.0000 1.4533
0.0000 6.1510 1.4533
4.5768 1.2884 0.0000
1.3655 4.8626 0.0000
1.8459 1.2884 2.9066
-1.3655 4.8626 2.9066
```

Largest 6 diffraction maxima, sorted by position, 5 to 70 degrees two-theta:
2θ (°)	I_rel
25.23	100
30.76	29
32.68	32
40.62	29
41.92	31
42.82	47



Starting from DFT lattice parameters and positions (PBE), the powder XRD pattern of AcPmY4 was calculated for a wavelength of 1.5418 Å.

```
AcPmY4
1.0
5.4929 -3.1697 0.0000
5.4929 3.1697 0.0000
-3.6419 0.0000 11.8541
Ac Pm Y
2 2 8
Cartesian
2.7464 1.5849 0.0000
0.9255 -1.5849 5.9270
4.5824 2.6665 2.9635
2.7615 -2.6665 8.8905
2.7526 1.5778 5.9066
0.9533 0.5424 8.8918
6.4122 1.5778 0.0204
2.7743 -0.5424 2.9647
4.5696 0.5424 8.8893
0.9316 -1.5778 11.8337
6.3905 -0.5424 2.9623
4.5913 -1.5778 5.9474
```

Largest 6 diffraction maxima, sorted by position, 5 to 70 degrees two-theta:
2θ (°)	I_rel
29.16	32
30.16	33
32.01	100
49.81	24
54.74	22
59.34	28